[1]
Calculated PXRD pattern of RbPa2MnSe8 for λ = 1.5418 Å (Cu Kα), from a GGA-PBE-relaxed structure.

Structure:
a = 6.302 Å, b = 6.302 Å, c = 9.593 Å
α = 90.00°, β = 90.00°, γ = 120.00°
Fractional positions:
Rb1 0.000 0.000 0.000
Pa1 0.333 0.667 0.393
Pa2 0.667 0.333 0.607
Mn1 0.000 0.000 0.500
Se1 0.174 0.347 0.655
Se2 0.174 0.826 0.655
Se3 0.333 0.667 0.124
Se4 0.347 0.174 0.345
Se5 0.653 0.826 0.655
Se6 0.667 0.333 0.876
Se7 0.826 0.174 0.345
Se8 0.826 0.653 0.345

Most intense lines, 5 to 70 degrees two-theta, by intensity:
| 2θ/deg | d [Å] | Rel. int. |
| --- | --- | --- |
| 9.2 | 9.593 | 100 |
| 34.2 | 2.625 | 69 |
| 37.9 | 2.372 | 40 |
| 28.3 | 3.151 | 37 |
| 18.7 | 4.744 | 32 |
| 32.5 | 2.759 | 26 |
| 43.6 | 2.076 | 23 |
| 58.6 | 1.576 | 20 |
| 41.1 | 2.196 | 17 |
| 50.7 | 1.801 | 15 |


[2]
Calculated PXRD pattern of PaMnS6 for λ = 1.5418 Å (Cu Kα), from a GGA-PBE-relaxed structure.

Structure:
a = 5.841 Å, b = 5.860 Å, c = 5.882 Å
α = 80.82°, β = 62.87°, γ = 63.03°
Fractional positions:
Pa1 0.000 0.000 0.000
Mn1 0.000 0.500 0.500
S1 0.162 0.397 0.820
S2 0.162 0.821 0.395
S3 0.464 0.241 0.241
S4 0.536 0.759 0.759
S5 0.838 0.179 0.605
S6 0.838 0.603 0.180

Most intense lines, 5 to 70 degrees two-theta, by intensity:
| 2θ/deg | d [Å] | Rel. int. |
| --- | --- | --- |
| 18.9 | 4.685 | 100 |
| 31.1 | 2.877 | 67 |
| 31.2 | 2.866 | 67 |
| 17.0 | 5.219 | 62 |
| 20.3 | 4.375 | 62 |
| 19.2 | 4.627 | 52 |
| 39.7 | 2.268 | 40 |
| 45.5 | 1.995 | 38 |
| 23.4 | 3.806 | 38 |
| 24.8 | 3.585 | 37 |


[3]
Calculated PXRD pattern of PaMn4SnS8 for λ = 1.5418 Å (Cu Kα), from a GGA-PBE-relaxed structure.

Structure:
a = 7.584 Å, b = 7.584 Å, c = 7.584 Å
α = 59.39°, β = 59.39°, γ = 59.39°
Fractional positions:
Pa1 0.000 0.000 0.000
Mn1 0.514 0.996 0.996
Mn2 0.636 0.636 0.636
Mn3 0.996 0.514 0.996
Mn4 0.996 0.996 0.514
Sn1 0.366 0.366 0.366
S1 0.229 0.229 0.229
S2 0.245 0.752 0.752
S3 0.251 0.251 0.781
S4 0.251 0.781 0.251
S5 0.752 0.245 0.752
S6 0.752 0.752 0.245
S7 0.762 0.762 0.762
S8 0.781 0.251 0.251

Most intense lines, 5 to 70 degrees two-theta, by intensity:
| 2θ/deg | d [Å] | Rel. int. |
| --- | --- | --- |
| 27.7 | 3.216 | 100 |
| 23.7 | 3.757 | 51 |
| 14.4 | 6.144 | 44 |
| 27.5 | 3.238 | 41 |
| 48.5 | 1.878 | 41 |
| 33.6 | 2.669 | 39 |
| 48.0 | 1.896 | 37 |
| 44.2 | 2.048 | 29 |
| 44.1 | 2.054 | 27 |
| 16.6 | 5.338 | 22 |